This entry pairs a crystal structure of La3DyTl3 with its computed XRD peak list. Radiation: Cu Kα (weighted mean of Kα1 and Kα2). Structure: DFT lattice parameters and positions (PBE).
Neutral-atom scattering factors, no anomalous dispersion.

Main lines, in order of rising 2θ (2θ from 5° to 70°):
- 18.0 deg, rel. 121
- 28.0 deg, rel. 333
- 28.2 deg, rel. 251
- 31.7 deg, rel. 1000
- 32.4 deg, rel. 484
- 32.6 deg, rel. 448
- 34.1 deg, rel. 120
- 36.5 deg, rel. 227
- 38.5 deg, rel. 222
- 42.3 deg, rel. 135

Structure:
```
14
Lattice="4.273 -5.530 0.000 4.273 5.530 0.000 -0.367 0.000 9.842" Properties=species:S:1:pos:R:3 pbc="T T T"
La 4.273 3.558 0.000
La 4.090 2.828 4.921
La 3.400 0.000 1.790
La 4.780 0.000 8.052
La 4.090 -2.828 4.921
La 4.273 -3.558 0.000
Dy 2.149 0.000 5.378
Dy 6.031 0.000 4.465
Tl 0.178 0.000 2.697
Tl 1.999 2.297 7.527
Tl 1.999 -2.297 7.527
Tl 6.181 2.297 2.315
Tl 6.181 -2.297 2.315
Tl 8.002 0.000 7.145
```

This entry pairs a crystal structure of Mg2InHg with its computed XRD peak list. Radiation: Cu Kα (weighted mean of Kα1 and Kα2). Structure: DFT lattice parameters and positions (PBE).
Neutral-atom scattering factors, no anomalous dispersion.

Main lines, in order of rising 2θ (2θ from 5° to 70°):
- 17.1 deg, rel. 256
- 22.5 deg, rel. 750
- 25.8 deg, rel. 538
- 27.0 deg, rel. 482
- 34.5 deg, rel. 1000
- 35.4 deg, rel. 931
- 37.6 deg, rel. 397
- 37.9 deg, rel. 386
- 44.2 deg, rel. 263
- 44.5 deg, rel. 257

Structure:
```
4
Lattice="3.447 -3.958 0.000 3.447 3.958 0.000 -0.032 0.000 3.298" Properties=species:S:1:pos:R:3 pbc="T T T"
Mg 1.724 1.979 0.000
Mg 1.724 -1.979 0.000
In -0.016 0.000 1.649
Hg 3.431 0.000 1.649
```

This entry pairs a crystal structure of Ca7Ag2Pt2 with its computed XRD peak list. Radiation: Cu Kα (weighted mean of Kα1 and Kα2). Structure: DFT lattice parameters and positions (PBE).
Neutral-atom scattering factors, no anomalous dispersion.

Main lines, in order of rising 2θ (2θ from 5° to 70°):
- 12.4 deg, rel. 182
- 18.1 deg, rel. 166
- 20.4 deg, rel. 876
- 24.3 deg, rel. 687
- 26.5 deg, rel. 190
- 32.7 deg, rel. 449
- 36.7 deg, rel. 1000
- 41.2 deg, rel. 208
- 41.3 deg, rel. 168
- 42.2 deg, rel. 231

Structure:
```
11
Lattice="4.263 -5.477 0.000 4.263 5.477 0.000 0.000 0.000 7.153" Properties=species:S:1:pos:R:3 pbc="T T T"
Ca 0.000 0.000 0.000
Ca 2.131 2.739 1.842
Ca 2.131 2.739 5.312
Ca 2.131 -2.739 1.842
Ca 2.131 -2.739 5.312
Ca 4.263 0.000 1.757
Ca 4.263 0.000 5.397
Ag 1.490 0.000 3.577
Ag 7.036 0.000 3.577
Pt 4.263 2.378 0.000
Pt 4.263 -2.378 0.000
```

This entry pairs a crystal structure of Pm3SmAs4 with its computed XRD peak list. Radiation: Cu Kα (weighted mean of Kα1 and Kα2). Structure: DFT lattice parameters and positions (PBE).
Neutral-atom scattering factors, no anomalous dispersion.

Main lines, in order of rising 2θ (2θ from 5° to 70°):
- 25.8 deg, rel. 185
- 29.9 deg, rel. 1000
- 42.7 deg, rel. 750
- 50.6 deg, rel. 91
- 53.0 deg, rel. 265
- 62.0 deg, rel. 123
- 68.3 deg, rel. 37

Structure:
```
8
Lattice="5.983 0.000 0.000 0.000 5.983 0.000 0.000 0.000 5.983" Properties=species:S:1:pos:R:3 pbc="T T T"
Pm 0.000 0.000 2.992
Pm 0.000 2.992 0.000
Pm 2.992 0.000 0.000
Sm 2.992 2.992 2.992
As 0.000 0.000 0.000
As 0.000 2.992 2.992
As 2.992 0.000 2.992
As 2.992 2.992 0.000
```

This entry pairs a crystal structure of Pm9Sm4Pu with its computed XRD peak list. Radiation: Cu Kα (weighted mean of Kα1 and Kα2). Structure: DFT lattice parameters and positions (PBE).
Neutral-atom scattering factors, no anomalous dispersion.

Main lines, in order of rising 2θ (2θ from 5° to 70°):
- 22.1 deg, rel. 100
- 31.7 deg, rel. 240
- 31.8 deg, rel. 1000
- 32.2 deg, rel. 290
- 36.2 deg, rel. 109
- 45.1 deg, rel. 91
- 51.7 deg, rel. 186
- 55.6 deg, rel. 137
- 55.9 deg, rel. 152
- 65.5 deg, rel. 185

Structure:
```
28
Lattice="9.924 0.000 0.000 -4.962 8.595 0.000 0.000 0.000 11.238" Properties=species:S:1:pos:R:3 pbc="T T T"
Pm -1.939 4.611 2.809
Pm 0.000 3.598 6.023
Pm 0.000 3.598 10.834
Pm -1.846 6.796 6.023
Pm -1.846 6.796 10.834
Pm 3.116 1.799 0.404
Pm 3.116 1.799 5.215
Pm 1.939 4.611 2.809
Pm 0.000 7.968 2.809
Pm 4.962 0.626 8.428
Pm 3.024 3.984 8.428
Pm 1.846 6.796 6.023
Pm 1.846 6.796 10.834
Pm 6.808 1.799 0.404
Pm 6.808 1.799 5.215
Pm 4.962 4.996 0.404
Pm 4.962 4.996 5.215
Pm 6.901 3.984 8.428
Sm 0.000 0.000 0.000
Sm 0.000 0.000 5.619
Sm 0.000 1.960 2.809
Sm -3.265 7.615 2.809
Sm 1.697 0.980 8.428
Sm 3.265 7.615 2.809
Sm 8.227 0.980 8.428
Sm 4.962 6.635 8.428
Pu 0.000 5.730 8.428
Pu 4.962 2.865 2.809
```

This entry pairs a crystal structure of LaZn7 with its computed XRD peak list. Radiation: Cu Kα (weighted mean of Kα1 and Kα2). Structure: DFT lattice parameters and positions (PBE).
Neutral-atom scattering factors, no anomalous dispersion.

Main lines, in order of rising 2θ (2θ from 5° to 70°):
- 30.7 deg, rel. 219
- 30.9 deg, rel. 217
- 34.4 deg, rel. 1000
- 34.8 deg, rel. 482
- 35.1 deg, rel. 471
- 43.3 deg, rel. 495
- 43.9 deg, rel. 284
- 45.0 deg, rel. 679
- 64.0 deg, rel. 200
- 64.5 deg, rel. 197

Structure:
```
8
Lattice="5.302 -3.559 0.000 5.302 3.559 0.000 -1.617 0.000 3.849" Properties=species:S:1:pos:R:3 pbc="T T T"
La 0.000 0.000 0.000
Zn 3.245 1.301 1.388
Zn 1.417 0.000 2.877
Zn 5.742 1.301 2.462
Zn 5.302 0.000 0.000
Zn 3.245 -1.301 1.388
Zn 7.569 0.000 0.972
Zn 5.742 -1.301 2.462
```

This entry pairs a crystal structure of Sr3In3Au with its computed XRD peak list. Radiation: Cu Kα (weighted mean of Kα1 and Kα2). Structure: DFT lattice parameters and positions (PBE).
Neutral-atom scattering factors, no anomalous dispersion.

Main lines, in order of rising 2θ (2θ from 5° to 70°):
- 5.4 deg, rel. 1000
- 14.4 deg, rel. 699
- 28.1 deg, rel. 580
- 28.8 deg, rel. 623
- 29.4 deg, rel. 527
- 32.9 deg, rel. 368
- 33.2 deg, rel. 394
- 34.4 deg, rel. 885
- 34.5 deg, rel. 536
- 40.1 deg, rel. 554

Structure:
```
14
Lattice="6.174 -2.249 0.000 6.174 2.249 0.000 -4.953 0.000 16.355" Properties=species:S:1:pos:R:3 pbc="T T T"
Sr -1.740 0.000 6.290
Sr -3.144 0.000 15.099
Sr 1.751 0.000 3.867
Sr 5.645 0.000 12.488
Sr 10.540 0.000 1.256
Sr 9.135 0.000 10.065
In 1.799 0.000 7.564
In 0.318 0.000 15.086
In 2.142 0.000 12.587
In 5.254 0.000 3.769
In 7.078 0.000 1.269
In 5.597 0.000 8.791
Au 0.426 0.000 10.228
Au 6.969 0.000 6.127
```

This entry pairs a crystal structure of La12PrTh7 with its computed XRD peak list. Radiation: Cu Kα (weighted mean of Kα1 and Kα2). Structure: DFT lattice parameters and positions (PBE).
Neutral-atom scattering factors, no anomalous dispersion.

Main lines, in order of rising 2θ (2θ from 5° to 70°):
- 21.4 deg, rel. 869
- 23.9 deg, rel. 302
- 26.3 deg, rel. 289
- 28.4 deg, rel. 277
- 30.4 deg, rel. 1000
- 37.5 deg, rel. 969
- 43.6 deg, rel. 492
- 49.0 deg, rel. 268
- 58.8 deg, rel. 510
- 67.6 deg, rel. 436

Structure:
```
20
Lattice="-5.877 5.877 5.877 5.877 -5.877 5.877 5.877 5.877 -5.877" Properties=species:S:1:pos:R:3 pbc="T T T"
La 5.877 3.259 -2.223
La 3.653 0.000 2.618
La 8.100 0.000 2.618
La 2.618 3.653 0.000
La 3.259 -2.223 5.877
La 5.877 3.259 2.223
La 0.000 2.618 3.653
La 2.618 8.100 0.000
La 3.259 2.223 5.877
La -2.223 5.877 3.259
La 2.223 5.877 3.259
La 0.000 2.618 8.100
Pr 0.000 0.000 0.000
Th 2.938 2.938 -2.938
Th 2.938 -2.938 2.938
Th 5.877 0.000 0.000
Th -2.938 2.938 2.938
Th 0.000 5.877 0.000
Th 0.000 0.000 5.877
Th 2.938 2.938 2.938
```

This entry pairs a crystal structure of Er8Ge3Te3As with its computed XRD peak list. Radiation: Cu Kα (weighted mean of Kα1 and Kα2). Structure: DFT lattice parameters and positions (PBE).
Neutral-atom scattering factors, no anomalous dispersion.

Main lines, in order of rising 2θ (2θ from 5° to 70°):
- 25.7 deg, rel. 40
- 26.1 deg, rel. 149
- 30.1 deg, rel. 1000
- 32.8 deg, rel. 43
- 42.9 deg, rel. 341
- 43.4 deg, rel. 383
- 52.9 deg, rel. 50
- 53.7 deg, rel. 196
- 59.7 deg, rel. 41
- 62.6 deg, rel. 110

Structure:
```
15
Lattice="4.172 2.408 6.929 -4.172 2.408 6.929 0.000 -4.817 6.929" Properties=species:S:1:pos:R:3 pbc="T T T"
Er -2.130 -1.230 11.933
Er 0.000 0.000 4.985
Er 0.000 -2.459 8.853
Er -2.130 1.230 8.853
Er 2.130 -1.230 11.933
Er 0.000 2.459 11.933
Er 0.000 0.000 15.801
Er 2.130 1.230 8.853
Ge -4.172 0.000 10.393
Ge -2.086 1.204 3.464
Ge 2.086 1.204 3.464
Te -2.086 -1.204 6.929
Te -2.086 1.204 13.857
Te 0.000 2.408 6.929
As 0.000 0.000 10.393
```

This entry pairs a crystal structure of K5Nd2F12 with its computed XRD peak list. Radiation: Cu Kα (weighted mean of Kα1 and Kα2). Structure: DFT lattice parameters and positions (PBE).
Neutral-atom scattering factors, no anomalous dispersion.

Main lines, in order of rising 2θ (2θ from 5° to 70°):
- 13.0 deg, rel. 1000
- 13.2 deg, rel. 792
- 17.6 deg, rel. 234
- 19.6 deg, rel. 289
- 25.5 deg, rel. 817
- 28.1 deg, rel. 616
- 29.5 deg, rel. 316
- 38.0 deg, rel. 193
- 45.9 deg, rel. 318
- 47.1 deg, rel. 215

Structure:
```
19
Lattice="6.735 -4.079 0.000 6.735 4.079 0.000 -0.746 0.000 6.790" Properties=species:S:1:pos:R:3 pbc="T T T"
K 0.000 0.000 0.000
K 2.937 0.000 2.874
K 3.952 0.000 6.384
K 8.772 0.000 0.406
K 9.788 0.000 3.916
Nd 6.362 2.024 3.395
Nd 6.362 -2.024 3.395
F 0.601 0.000 4.303
F 4.759 2.477 5.051
F 4.781 1.512 1.730
F 7.966 2.477 1.738
F 5.308 0.000 4.191
F 7.944 1.512 5.059
F 4.781 -1.512 1.730
F 7.416 0.000 2.598
F 4.759 -2.477 5.051
F 7.944 -1.512 5.059
F 7.966 -2.477 1.738
F 12.123 0.000 2.487
```

This entry pairs a crystal structure of PmDyAsS with its computed XRD peak list. Radiation: Cu Kα (weighted mean of Kα1 and Kα2). Structure: DFT lattice parameters and positions (PBE).
Neutral-atom scattering factors, no anomalous dispersion.

Main lines, in order of rising 2θ (2θ from 5° to 70°):
- 26.7 deg, rel. 624
- 30.9 deg, rel. 1000
- 31.1 deg, rel. 489
- 44.2 deg, rel. 369
- 44.4 deg, rel. 728
- 52.4 deg, rel. 207
- 52.8 deg, rel. 102
- 55.1 deg, rel. 384
- 64.3 deg, rel. 120
- 64.9 deg, rel. 58

Structure:
```
4
Lattice="4.097 0.000 0.000 0.000 4.097 0.000 0.000 0.000 5.746" Properties=species:S:1:pos:R:3 pbc="T T T"
Pm 0.000 0.000 0.000
Dy 2.048 2.048 2.873
As 2.048 2.048 0.000
S 0.000 0.000 2.873
```

This entry pairs a crystal structure of La2PrDy2Y6 with its computed XRD peak list. Radiation: Cu Kα (weighted mean of Kα1 and Kα2). Structure: DFT lattice parameters and positions (PBE).
Neutral-atom scattering factors, no anomalous dispersion.

Main lines, in order of rising 2θ (2θ from 5° to 70°):
- 7.8 deg, rel. 195
- 29.4 deg, rel. 111
- 30.7 deg, rel. 1000
- 31.4 deg, rel. 440
- 32.6 deg, rel. 439
- 33.0 deg, rel. 262
- 33.9 deg, rel. 212
- 37.3 deg, rel. 298
- 49.9 deg, rel. 114
- 50.9 deg, rel. 113

Structure:
```
11
Lattice="3.263 -5.149 0.000 3.263 5.149 0.000 -0.796 0.000 11.395" Properties=species:S:1:pos:R:3 pbc="T T T"
La 3.263 2.681 0.000
La 3.263 -2.681 0.000
Pr 2.865 0.000 5.698
Dy 2.865 3.475 5.698
Dy 2.865 -3.475 5.698
Y 1.656 1.728 2.921
Y 0.829 0.000 8.873
Y 1.656 -1.728 2.921
Y 4.074 1.728 8.474
Y 4.902 0.000 2.523
Y 4.074 -1.728 8.474
```

This entry pairs a crystal structure of Nd8Y with its computed XRD peak list. Radiation: Cu Kα (weighted mean of Kα1 and Kα2). Structure: DFT lattice parameters and positions (PBE).
Neutral-atom scattering factors, no anomalous dispersion.

Main lines, in order of rising 2θ (2θ from 5° to 70°):
- 11.4 deg, rel. 7
- 18.9 deg, rel. 5
- 24.9 deg, rel. 6
- 29.8 deg, rel. 1000
- 34.6 deg, rel. 507
- 49.7 deg, rel. 362
- 59.0 deg, rel. 432
- 61.9 deg, rel. 124

Structure:
```
9
Lattice="-5.506 5.506 2.597 5.506 -5.506 2.597 5.506 5.506 -2.597" Properties=species:S:1:pos:R:3 pbc="T T T"
Nd 3.665 0.000 0.000
Nd 7.346 0.000 0.000
Nd 0.000 3.665 0.000
Nd 3.674 3.674 0.000
Nd 1.832 -1.832 2.597
Nd -1.832 1.832 2.597
Nd 1.832 1.832 2.597
Nd 0.000 7.346 0.000
Y 0.000 0.000 0.000
```